Diffraction record for PuZrB12. The X-ray powder pattern is simulated, not measured: it uses a structure optimized by DFT (PBE) and copper Kα.
Kinematic intensities with the Lorentz-polarization factor, no thermal factor.

Largest 6 diffraction maxima, in order of rising 2θ, 2θ = 10–90°:
- 2θ = 10.85°, rel. 28
- 2θ = 21.76°, rel. 71
- 2θ = 30.96°, rel. 100
- 2θ = 38.17°, rel. 42
- 2θ = 49.90°, rel. 34
- 2θ = 55.08°, rel. 29

Crystal structure
Lattice parameters (Å, degrees): 4.088 4.088 8.153 90.00 90.00 90.00
Space group P4/mmm (No. 123)
Asymmetric unit:
Pu1 0.000 0.000 0.000
Zr1 0.000 0.000 0.500
B1 0.198 0.500 0.253
B2 0.500 0.500 0.100
B3 0.500 0.500 0.402



Diffraction record for Nd2GaBi. The X-ray powder pattern is simulated, not measured: it uses a structure optimized by DFT (PBE) and copper Kα.
Kinematic intensities with the Lorentz-polarization factor, no thermal factor.

Largest 6 diffraction maxima, in order of rising 2θ, 2θ = 10–90°:
- 2θ = 29.26°, rel. 100
- 2θ = 30.63°, rel. 33
- 2θ = 36.54°, rel. 38
- 2θ = 36.69°, rel. 39
- 2θ = 38.81°, rel. 28
- 2θ = 41.80°, rel. 25

Crystal structure
Lattice parameters (Å, degrees): 6.294 4.322 9.058 90.00 108.15 90.00
Space group P2_1/m (No. 11)
Asymmetric unit:
Nd1 0.194 0.250 0.425
Nd2 0.282 0.750 0.062
Ga1 0.104 0.250 0.797
Bi1 0.379 0.750 0.708



Diffraction record for Ac4PmNd15. The X-ray powder pattern is simulated, not measured: it uses a structure optimized by DFT (PBE) and copper Kα.
Kinematic intensities with the Lorentz-polarization factor, no thermal factor.

Largest 6 diffraction maxima, in order of rising 2θ, 2θ = 10–90°:
- 2θ = 29.19°, rel. 100
- 2θ = 29.31°, rel. 99
- 2θ = 33.77°, rel. 68
- 2θ = 34.16°, rel. 33
- 2θ = 48.80°, rel. 49
- 2θ = 57.55°, rel. 30

Crystal structure
Lattice parameters (Å, degrees): 6.445 3.765 30.575 90.00 94.46 90.00
Space group P2/m (No. 10)
Asymmetric unit:
Ac1 0.103 0.000 0.302
Ac2 0.299 0.000 0.900
Pm1 0.500 0.000 0.500
Nd1 0.000 0.000 0.000
Nd2 0.000 0.500 0.500
Nd3 0.098 0.500 0.799
Nd4 0.199 0.000 0.598
Nd5 0.201 0.500 0.100
Nd6 0.304 0.500 0.403
Nd7 0.398 0.500 0.698
Nd8 0.403 0.000 0.201
Nd9 0.500 0.500 0.000



Diffraction record for Pr3GePd. The X-ray powder pattern is simulated, not measured: it uses a structure optimized by DFT (PBE) and copper Kα.
Kinematic intensities with the Lorentz-polarization factor, no thermal factor.

Largest 6 diffraction maxima, in order of rising 2θ, 2θ = 10–90°:
- 2θ = 28.90°, rel. 100
- 2θ = 30.09°, rel. 87
- 2θ = 31.48°, rel. 68
- 2θ = 35.70°, rel. 60
- 2θ = 38.60°, rel. 62
- 2θ = 41.85°, rel. 58

Crystal structure
Lattice parameters (Å, degrees): 15.472 4.319 8.463 90.00 90.53 90.00
Space group C2/m (No. 12)
Asymmetric unit:
Pr1 0.043 0.000 0.176
Pr2 0.102 0.500 0.562
Pr3 0.244 0.000 0.810
Ge1 0.111 0.500 0.933
Pd1 0.203 0.000 0.423



Diffraction record for BaCd2Sn. The X-ray powder pattern is simulated, not measured: it uses a structure optimized by DFT (PBE) and copper Kα.
Kinematic intensities with the Lorentz-polarization factor, no thermal factor.

Largest 6 diffraction maxima, in order of rising 2θ, 2θ = 10–90°:
- 2θ = 26.30°, rel. 70
- 2θ = 27.48°, rel. 51
- 2θ = 30.21°, rel. 98
- 2θ = 30.78°, rel. 68
- 2θ = 35.67°, rel. 71
- 2θ = 37.53°, rel. 100

Crystal structure
Lattice parameters (Å, degrees): 4.792 4.792 11.279 90.00 90.00 90.00
Space group P4/nmm (No. 129, origin choice 2)
Asymmetric unit:
Ba1 0.250 0.250 0.245
Cd1 0.250 0.250 0.938
Cd2 0.250 0.750 0.500
Sn1 0.250 0.250 0.660



Diffraction record for ErNb2Ru3. The X-ray powder pattern is simulated, not measured: it uses a structure optimized by DFT (PBE) and copper Kα.
Kinematic intensities with the Lorentz-polarization factor, no thermal factor.

Largest 6 diffraction maxima, in order of rising 2θ, 2θ = 10–90°:
- 2θ = 39.04°, rel. 100
- 2θ = 39.69°, rel. 51
- 2θ = 57.39°, rel. 17
- 2θ = 70.28°, rel. 14
- 2θ = 71.60°, rel. 33
- 2θ = 83.87°, rel. 9

Crystal structure
Lattice parameters (Å, degrees): 3.211 3.211 9.951 90.00 90.00 90.00
Space group P4/mmm (No. 123)
Asymmetric unit:
Er1 0.000 0.000 0.000
Nb1 0.000 0.000 0.340
Ru1 0.500 0.500 0.190
Ru2 0.500 0.500 0.500



Diffraction record for Na2Li2Br. The X-ray powder pattern is simulated, not measured: it uses a structure optimized by DFT (PBE) and copper Kα.
Kinematic intensities with the Lorentz-polarization factor, no thermal factor.

Largest 6 diffraction maxima, in order of rising 2θ, 2θ = 10–90°:
- 2θ = 27.29°, rel. 85
- 2θ = 33.04°, rel. 45
- 2θ = 33.43°, rel. 100
- 2θ = 34.43°, rel. 67
- 2θ = 41.13°, rel. 39
- 2θ = 59.25°, rel. 40

Crystal structure
Lattice parameters (Å, degrees): 3.835 3.835 18.737 90.00 90.00 90.00
Space group I4/mmm (No. 139)
Asymmetric unit:
Na1 0.000 0.000 0.093
Li1 0.000 0.500 0.250
Br1 0.000 0.000 0.500



Diffraction record for MgAg5. The X-ray powder pattern is simulated, not measured: it uses a structure optimized by DFT (PBE) and copper Kα.
Kinematic intensities with the Lorentz-polarization factor, no thermal factor.

Largest 6 diffraction maxima, in order of rising 2θ, 2θ = 10–90°:
- 2θ = 35.36°, rel. 25
- 2θ = 37.23°, rel. 29
- 2θ = 40.13°, rel. 100
- 2θ = 52.28°, rel. 16
- 2θ = 69.08°, rel. 19
- 2θ = 75.94°, rel. 19

Crystal structure
Lattice parameters (Å, degrees): 5.0775 5.0775 14.4898 90.00 90.00 120.00
Space group R32 (No. 155, hexagonal axes)
Asymmetric unit:
Mg1 0.0000 0.0000 0.0000
Ag1 0.0000 0.0000 0.3325
Ag2 0.0000 0.6673 0.5000



Diffraction record for U2Tc5P3. The X-ray powder pattern is simulated, not measured: it uses a structure optimized by DFT (PBE) and copper Kα.
Kinematic intensities with the Lorentz-polarization factor, no thermal factor.

Largest 6 diffraction maxima, in order of rising 2θ, 2θ = 10–90°:
- 2θ = 36.00°, rel. 32
- 2θ = 37.04°, rel. 59
- 2θ = 37.53°, rel. 100
- 2θ = 40.13°, rel. 26
- 2θ = 40.41°, rel. 32
- 2θ = 44.46°, rel. 32

Crystal structure
Lattice parameters (Å, degrees): 4.075 24.009 6.378 90.00 90.00 90.00
Space group Cmc2_1 (No. 36)
Asymmetric unit:
U1 0.000 0.015 0.000
U2 0.000 0.326 0.011
Tc1 0.000 0.101 0.356
Tc2 0.000 0.205 0.244
Tc3 0.000 0.208 0.826
Tc4 0.000 0.372 0.519
Tc5 0.000 0.445 0.159
P1 0.000 0.110 0.760
P2 0.000 0.272 0.532
P3 0.000 0.450 0.774



Diffraction record for Cs4Na5Tl. The X-ray powder pattern is simulated, not measured: it uses a structure optimized by DFT (PBE) and copper Kα.
Kinematic intensities with the Lorentz-polarization factor, no thermal factor.

Largest 6 diffraction maxima, in order of rising 2θ, 2θ = 10–90°:
- 2θ = 14.32°, rel. 44
- 2θ = 19.65°, rel. 100
- 2θ = 23.84°, rel. 81
- 2θ = 28.61°, rel. 39
- 2θ = 31.95°, rel. 59
- 2θ = 38.83°, rel. 40

Crystal structure
Lattice parameters (Å, degrees): 13.238 13.238 6.993 90.00 90.00 90.00
Space group I4mm (No. 107)
Asymmetric unit:
Cs1 0.000 0.288 0.000
Na1 0.000 0.000 0.245
Na2 0.159 0.159 0.526
Tl1 0.000 0.000 0.735



Diffraction record for Mo3WN4. The X-ray powder pattern is simulated, not measured: it uses a structure optimized by DFT (PBE) and copper Kα.
Kinematic intensities with the Lorentz-polarization factor, no thermal factor.

Largest 6 diffraction maxima, in order of rising 2θ, 2θ = 10–90°:
- 2θ = 27.30°, rel. 54
- 2θ = 28.63°, rel. 100
- 2θ = 35.28°, rel. 85
- 2θ = 35.94°, rel. 57
- 2θ = 44.69°, rel. 47
- 2θ = 45.76°, rel. 58

Crystal structure
Lattice parameters (Å, degrees): 4.055 7.621 6.346 90.00 90.00 90.00
Space group Pmmn (No. 59, origin choice 2)
Asymmetric unit:
Mo1 0.250 0.081 0.128
Mo2 0.250 0.250 0.784
W1 0.250 0.750 0.624
N1 0.250 0.250 0.413
N2 0.250 0.528 0.792
N3 0.250 0.750 0.311



Diffraction record for NaPd3O6. The X-ray powder pattern is simulated, not measured: it uses a structure optimized by DFT (PBE) and copper Kα.
Kinematic intensities with the Lorentz-polarization factor, no thermal factor.

Largest 6 diffraction maxima, in order of rising 2θ, 2θ = 10–90°:
- 2θ = 14.83°, rel. 32
- 2θ = 29.91°, rel. 100
- 2θ = 33.47°, rel. 91
- 2θ = 38.08°, rel. 33
- 2θ = 52.06°, rel. 63
- 2θ = 61.73°, rel. 29

Crystal structure
Lattice parameters (Å, degrees): 7.263 10.507 3.112 90.00 90.00 90.00
Space group Cmmm (No. 65)
Asymmetric unit:
Na1 0.000 0.000 0.000
Pd1 0.000 0.500 0.000
Pd2 0.250 0.250 0.500
O1 0.000 0.174 0.500
O2 0.206 0.373 0.000